[1]
Computed X-ray powder pattern of CsTiNF2 for Cu Kα, from a cell relaxed with PBE.

The 10 most intense peaks (10° ≤ 2θ ≤ 90°), by angle:
2θ/deg, d_spacing, intensity, h k l
19.96, 4.448, 23, 1 0 0
28.38, 3.145, 52, 1 1 0
30.55, 2.926, 100, 1 0 1
36.77, 2.445, 41, 1 1 1
40.57, 2.224, 44, 2 0 0
46.76, 1.943, 14, 0 0 2
51.62, 1.771, 45, 2 1 1
55.60, 1.653, 15, 1 1 2
58.72, 1.572, 14, 2 2 0
63.59, 1.463, 21, 2 0 2

Atomic structure:
```
data_CsTiNF2
_symmetry_space_group_name_H-M 'P 4/m m m'
_symmetry_Int_Tables_number 123
_symmetry_space_group_name_Hall '-P 4 2'
_cell_length_a 4.448
_cell_length_b 4.448
_cell_length_c 3.886
_cell_angle_alpha 90.00
_cell_angle_beta 90.00
_cell_angle_gamma 90.00
loop_
_atom_site_label
_atom_site_type_symbol
_atom_site_fract_x
_atom_site_fract_y
_atom_site_fract_z
Cs1 Cs 0.000 0.000 0.000
Ti1 Ti 0.500 0.500 0.500
N1 N 0.500 0.500 0.000
F1 F 0.000 0.500 0.500
```

[2]
Computed X-ray powder pattern of Sc2Cd2Ag for Cu Kα, from a cell relaxed with PBE.

The 10 most intense peaks (10° ≤ 2θ ≤ 90°), by angle:
2θ/deg, d_spacing, intensity, h k l
26.68, 3.342, 17, 0 6 0
26.95, 3.308, 53, 0 0 1
32.42, 2.762, 24, 0 4 1
34.89, 2.572, 100, 1 5 0
38.28, 2.352, 54, 0 6 1
38.49, 2.339, 65, 1 1 1
44.62, 2.031, 35, 1 5 1
45.23, 2.005, 18, 0 10 0
64.67, 1.441, 28, 1 11 1
67.28, 1.392, 28, 1 5 2

Atomic structure:
```
data_Sc2Cd2Ag
_symmetry_space_group_name_H-M 'C m m m'
_symmetry_Int_Tables_number 65
_symmetry_space_group_name_Hall '-C 2 2'
_cell_length_a 3.351
_cell_length_b 20.050
_cell_length_c 3.310
_cell_angle_alpha 90.00
_cell_angle_beta 90.00
_cell_angle_gamma 90.00
loop_
_atom_site_label
_atom_site_type_symbol
_atom_site_fract_x
_atom_site_fract_y
_atom_site_fract_z
Sc1 Sc 0.000 0.089 0.000
Cd1 Cd 0.000 0.310 0.500
Ag1 Ag 0.000 0.500 0.500
```